Structure and calculated powder XRD pattern of Ho2ErSc2 (a GGA-PBE-relaxed structure; copper Kα).
Peak positions follow from Bragg's law for the DFT cell and can differ from measured ones.

Lattice parameters (Å, degrees): 3.361 8.335 8.335 38.42 90.00 90.00
Fractional positions:
Ho 0.000 0.000 0.000
Ho 0.500 0.199 0.199
Er 0.000 0.626 0.626
Sc 0.000 0.384 0.384
Sc 0.500 0.814 0.814

The 10 most intense peaks (2θ = 15–90°), sorted by position:
| d [Å] | intensity |
| --- | --- |
| 3.792 | 26 |
| 3.091 | 42 |
| 2.820 | 25 |
| 2.743 | 46 |
| 2.731 | 76 |
| 2.515 | 100 |
| 2.052 | 26 |
| 1.536 | 26 |
| 1.444 | 24 |
| 1.432 | 33 |


Structure and calculated powder XRD pattern of Ac2Sn6Au3 (a GGA-PBE-relaxed structure; copper Kα).
Peak positions follow from Bragg's law for the DFT cell and can differ from measured ones.

Lattice parameters (Å, degrees): 8.475 8.475 4.934 90.00 90.00 120.00
Fractional positions:
Ac 0.333 0.667 0.000
Ac 0.667 0.333 0.000
Sn 0.000 0.314 0.500
Sn 0.000 0.793 0.000
Sn 0.207 0.207 0.000
Sn 0.314 0.000 0.500
Sn 0.686 0.686 0.500
Sn 0.793 0.000 0.000
Au 0.000 0.632 0.500
Au 0.368 0.368 0.500
Au 0.632 0.000 0.500

The 10 most intense peaks (2θ = 15–90°), sorted by position:
| d [Å] | intensity |
| --- | --- |
| 4.237 | 16 |
| 3.215 | 100 |
| 2.945 | 19 |
| 2.774 | 14 |
| 2.467 | 34 |
| 2.446 | 50 |
| 2.418 | 49 |
| 1.947 | 20 |
| 1.737 | 37 |
| 1.523 | 33 |


Structure and calculated powder XRD pattern of Ce3Se5 (a GGA-PBE-relaxed structure; copper Kα).
Peak positions follow from Bragg's law for the DFT cell and can differ from measured ones.

Lattice parameters (Å, degrees): 8.560 8.560 7.987 95.91 95.91 132.11
Fractional positions:
Ce 0.154 0.846 0.000
Ce 0.244 0.756 0.500
Ce 0.425 0.425 0.705
Ce 0.575 0.575 0.295
Ce 0.756 0.244 0.500
Ce 0.846 0.154 0.000
Se 0.126 0.340 0.379
Se 0.135 0.512 0.799
Se 0.239 0.239 0.986
Se 0.340 0.126 0.379
Se 0.488 0.865 0.201
Se 0.512 0.135 0.799
Se 0.660 0.874 0.621
Se 0.761 0.761 0.014
Se 0.865 0.488 0.201
Se 0.874 0.660 0.621

The 10 most intense peaks (2θ = 15–90°), sorted by position:
| d [Å] | intensity |
| --- | --- |
| 4.121 | 48 |
| 2.978 | 58 |
| 2.760 | 29 |
| 2.744 | 100 |
| 2.574 | 77 |
| 2.471 | 46 |
| 2.446 | 40 |
| 2.354 | 37 |
| 2.293 | 66 |
| 2.176 | 29 |


Structure and calculated powder XRD pattern of NdGa7Ni5 (a GGA-PBE-relaxed structure; copper Kα).
Peak positions follow from Bragg's law for the DFT cell and can differ from measured ones.

Lattice parameters (Å, degrees): 6.617 6.617 6.617 134.73 97.26 99.78
Fractional positions:
Nd 0.000 0.000 0.000
Ga 0.196 0.492 0.704
Ga 0.238 0.738 0.500
Ga 0.356 0.356 0.000
Ga 0.366 0.021 0.345
Ga 0.660 0.660 0.000
Ga 0.677 0.021 0.655
Ga 0.788 0.492 0.296
Ni 0.013 0.000 0.507
Ni 0.013 0.506 0.013
Ni 0.494 0.000 0.987
Ni 0.494 0.506 0.493
Ni 0.771 0.271 0.500

The 10 most intense peaks (2θ = 15–90°), sorted by position:
| d [Å] | intensity |
| --- | --- |
| 2.546 | 36 |
| 2.530 | 56 |
| 2.482 | 35 |
| 2.200 | 58 |
| 2.186 | 100 |
| 2.176 | 99 |
| 2.158 | 66 |
| 2.131 | 48 |
| 1.955 | 73 |
| 1.917 | 24 |


Structure and calculated powder XRD pattern of LaNd5Sm2Er (a GGA-PBE-relaxed structure; copper Kα).
Peak positions follow from Bragg's law for the DFT cell and can differ from measured ones.

Lattice parameters (Å, degrees): 10.076 10.076 10.076 126.84 126.84 78.50
Fractional positions:
La 0.250 0.250 0.000
La 0.750 0.750 0.000
Nd 0.000 0.000 0.000
Nd 0.070 0.570 0.913
Nd 0.157 0.070 0.500
Nd 0.343 0.843 0.913
Nd 0.430 0.343 0.500
Nd 0.500 0.500 0.000
Nd 0.570 0.657 0.500
Nd 0.657 0.157 0.087
Nd 0.843 0.930 0.500
Nd 0.930 0.430 0.087
Sm 0.115 0.385 0.500
Sm 0.385 0.885 0.269
Sm 0.615 0.115 0.731
Sm 0.885 0.615 0.500
Er 0.250 0.750 0.500
Er 0.750 0.250 0.500

The 10 most intense peaks (2θ = 15–90°), sorted by position:
| d [Å] | intensity |
| --- | --- |
| 3.187 | 98 |
| 2.950 | 100 |
| 2.678 | 13 |
| 2.469 | 31 |
| 2.166 | 22 |
| 1.951 | 16 |
| 1.791 | 22 |
| 1.664 | 21 |
| 1.475 | 16 |
| 1.234 | 16 |


Structure and calculated powder XRD pattern of Tb5Er5Bi6 (a GGA-PBE-relaxed structure; copper Kα).
Peak positions follow from Bragg's law for the DFT cell and can differ from measured ones.

Lattice parameters (Å, degrees): 6.356 9.176 9.176 120.19 90.00 90.00
Fractional positions:
Tb 0.000 0.000 0.000
Tb 0.250 0.576 0.909
Tb 0.250 0.909 0.576
Tb 0.750 0.576 0.909
Tb 0.750 0.909 0.576
Er 0.000 0.242 0.485
Er 0.000 0.485 0.242
Er 0.500 0.242 0.999
Er 0.500 0.482 0.482
Er 0.500 0.999 0.242
Bi 0.000 0.244 0.854
Bi 0.000 0.629 0.629
Bi 0.000 0.854 0.244
Bi 0.500 0.242 0.630
Bi 0.500 0.630 0.242
Bi 0.500 0.854 0.854

The 10 most intense peaks (2θ = 15–90°), sorted by position:
| d [Å] | intensity |
| --- | --- |
| 3.178 | 23 |
| 3.003 | 16 |
| 2.714 | 100 |
| 2.652 | 16 |
| 2.644 | 33 |
| 2.612 | 72 |
| 1.731 | 30 |
| 1.589 | 12 |
| 1.419 | 13 |
| 1.362 | 13 |